No. 1
Starting from a GGA+U-relaxed structure, the X-ray powder pattern of Li4MnCo2O7 was computed for CuKα.

Principal peaks in the range 10 to 90 degrees two-theta, low angle first:
18.3 deg, rel. 100.0
34.3 deg, rel. 19.1
36.0 deg, rel. 12.9
41.3 deg, rel. 34.5
43.8 deg, rel. 28.1
44.9 deg, rel. 25.3

Cell and atoms:
Cell lengths 3.022, 6.429, 13.610 Å; angles 83.35, 86.92, 76.59 degrees
Positions (direct):
Li 0.000 0.000 0.000
Li 0.000 0.500 0.500
Li 0.130 0.440 0.287
Li 0.297 0.854 0.568
Li 0.429 0.289 0.856
Li 0.571 0.711 0.144
Li 0.703 0.146 0.432
Li 0.870 0.560 0.713
Mn 0.133 0.930 0.784
Mn 0.867 0.070 0.216
Co 0.292 0.358 0.071
Co 0.420 0.774 0.365
Co 0.580 0.226 0.635
Co 0.708 0.642 0.929
O 0.019 0.762 0.255
O 0.157 0.663 0.033
O 0.174 0.181 0.544
O 0.253 0.621 0.826
O 0.271 0.084 0.323
O 0.440 0.507 0.613
O 0.465 0.050 0.109
O 0.535 0.950 0.891
O 0.560 0.493 0.387
O 0.729 0.916 0.677
O 0.747 0.379 0.174
O 0.826 0.819 0.456
O 0.843 0.337 0.967
O 0.981 0.238 0.745

No. 2
Starting from a GGA+U-relaxed structure, the X-ray powder pattern of Li4MnCo2O7 was computed for CuKα.

Principal peaks in the range 10 to 90 degrees two-theta, low angle first:
18.3 deg, rel. 100.0
35.6 deg, rel. 14.1
42.8 deg, rel. 28.6
43.7 deg, rel. 26.9
44.6 deg, rel. 25.0
63.1 deg, rel. 14.4

Cell and atoms:
Cell lengths 4.984, 6.571, 7.818 Å; angles 85.77, 79.21, 82.18 degrees
Positions (direct):
Li 0.000 0.000 0.000
Li 0.072 0.857 0.351
Li 0.203 0.576 0.068
Li 0.344 0.285 0.791
Li 0.500 0.000 0.500
Li 0.656 0.715 0.209
Li 0.797 0.424 0.932
Li 0.928 0.143 0.649
Mn 0.431 0.141 0.137
Mn 0.569 0.859 0.863
Co 0.136 0.719 0.723
Co 0.292 0.427 0.428
Co 0.708 0.573 0.572
Co 0.864 0.281 0.277
O 0.030 0.450 0.669
O 0.126 0.281 0.044
O 0.183 0.148 0.367
O 0.260 0.978 0.750
O 0.346 0.872 0.093
O 0.406 0.702 0.467
O 0.456 0.597 0.816
O 0.544 0.403 0.184
O 0.594 0.298 0.533
O 0.654 0.128 0.907
O 0.740 0.022 0.250
O 0.817 0.852 0.633
O 0.874 0.719 0.956
O 0.970 0.550 0.331

No. 3
Starting from a GGA+U-relaxed structure, the X-ray powder pattern of Li4MnCo2O7 was computed for CuKα.

Principal peaks in the range 10 to 90 degrees two-theta, low angle first:
18.3 deg, rel. 100.0
36.0 deg, rel. 25.8
43.4 deg, rel. 27.3
43.5 deg, rel. 56.6
57.3 deg, rel. 13.7
63.0 deg, rel. 14.9

Cell and atoms:
Cell lengths 6.599, 6.599, 14.492 Å; angles 110.99, 110.99, 25.54 degrees
Positions (direct):
Li 0.000 0.000 0.000
Li 0.001 0.001 0.494
Li 0.137 0.137 0.207
Li 0.293 0.293 0.934
Li 0.430 0.430 0.651
Li 0.572 0.572 0.353
Li 0.713 0.713 0.067
Li 0.860 0.860 0.790
Mn 0.143 0.143 0.716
Mn 0.287 0.287 0.428
Co 0.437 0.437 0.134
Co 0.562 0.562 0.867
Co 0.715 0.715 0.571
Co 0.861 0.861 0.279
O 0.014 0.014 0.753
O 0.141 0.141 0.954
O 0.156 0.156 0.464
O 0.273 0.273 0.675
O 0.296 0.296 0.186
O 0.418 0.418 0.388
O 0.434 0.434 0.887
O 0.566 0.566 0.112
O 0.576 0.576 0.620
O 0.704 0.704 0.808
O 0.726 0.726 0.334
O 0.853 0.853 0.521
O 0.862 0.862 0.044
O 0.995 0.995 0.247